Starting from a structure optimized by DFT (PBE), the powder diffractogram of NdY4Sc2 was computed for Cu Ka.
Intensities are scaled so that the largest is 100.

Top 6 peaks for 2θ from 5° to 70°, in order of rising 2θ:
Position (°2θ)	I/Imax
31.25	100
31.81	85
31.97	76
32.08	91
35.73	56
64.64	41

Crystal structure
```
NdY4Sc2
1.0
5.5984 0.0000 0.0000
0.0000 6.7335 0.0000
-2.6900 0.0000 11.3251
Nd Y Sc
2 8 4
direct
0.0040 0.2500 0.1357 Nd
0.9960 0.7500 0.8643 Nd
0.1127 0.7500 0.1570 Y
0.2302 0.2500 0.4277 Y
0.3483 0.0014 0.7056 Y
0.3483 0.4986 0.7056 Y
0.6517 0.5014 0.2944 Y
0.6517 0.9986 0.2944 Y
0.7698 0.7500 0.5723 Y
0.8873 0.2500 0.8430 Y
0.2034 0.7500 0.4343 Sc
0.4442 0.2500 0.0049 Sc
0.5558 0.7500 0.9951 Sc
0.7966 0.2500 0.5657 Sc
```